[1]
# La2Pm5PrTl
Simulated powder XRD pattern, CuKα. Input: a DFT-relaxed cell (GGA-PBE, Alexandria).

Peak list (10 most intense, 2θ from 10° to 90°, by intensity)
31.8 deg, intensity 1000, (2 0 0)
29.5 deg, intensity 183, (1 1 3)
56.6 deg, intensity 177, (3 5 2)
32.8 deg, intensity 114, (0 0 4)
46.3 deg, intensity 88, (2 0 4)
27.7 deg, intensity 83, (0 6 1)
58.6 deg, intensity 74, (1 11 3)
26.3 deg, intensity 65, (1 3 2)
60.2 deg, intensity 63, (2 6 5)
55.9 deg, intensity 57, (2 10 0)

Crystal structure
abc: 5.641 20.230 10.931
angles: 90.00 90.00 90.00
Space group Cmc2_1 (No. 36)
One atom of each set of equivalent atoms:
La 0.000 0.118 0.000 (multiplicity 4)
La 0.000 0.118 0.402 (multiplicity 4)
Pm 0.000 0.013 0.701 (multiplicity 4)
Pm 0.000 0.290 0.003 (multiplicity 4)
Pm 0.000 0.291 0.399 (multiplicity 4)
Pm 0.000 0.387 0.701 (multiplicity 4)
Pm 0.000 0.500 0.451 (multiplicity 4)
Pr 0.000 0.204 0.701 (multiplicity 4)
Tl 0.000 0.408 0.200 (multiplicity 4)

[2]
# UCo4P2
Simulated powder XRD pattern, CuKα. Input: a DFT-relaxed cell (GGA-PBE, Alexandria).

Peak list (10 most intense, 2θ from 10° to 90°, by intensity)
38.1 deg, intensity 1000, (2 1 1)
40.6 deg, intensity 461, (3 1 0)
28.0 deg, intensity 341, (1 0 1)
72.2 deg, intensity 239, (5 0 1)
25.3 deg, intensity 217, (2 0 0)
67.3 deg, intensity 207, (3 1 2)
17.8 deg, intensity 191, (1 1 0)
60.1 deg, intensity 175, (4 1 1)
87.8 deg, intensity 163, (6 2 0)
36.1 deg, intensity 154, (2 2 0)

Crystal structure
abc: 7.034 7.034 3.568
angles: 90.00 90.00 90.00
Space group P4_2/mnm (No. 136)
One atom of each set of equivalent atoms:
U 0.000 0.000 0.000 (multiplicity 2)
Co 0.085 0.340 0.500 (multiplicity 8)
P 0.221 0.779 0.500 (multiplicity 4)

[3]
# Ba5SiS8
Simulated powder XRD pattern, CuKα. Input: a DFT-relaxed cell (GGA-PBE, Alexandria).

Peak list (10 most intense, 2θ from 10° to 90°, by intensity)
23.5 deg, intensity 1000, (1 2 1)
31.3 deg, intensity 587, (3 1 0)
21.4 deg, intensity 522, (1 1 2)
26.3 deg, intensity 420, (1 0 3)
33.1 deg, intensity 348, (2 1 3)
43.8 deg, intensity 308, (2 3 3)
38.5 deg, intensity 262, (2 0 4)
30.8 deg, intensity 259, (3 0 1)
36.8 deg, intensity 222, (2 3 1)
45.9 deg, intensity 208, (3 1 4)

Crystal structure
abc: 9.042 9.042 10.943
angles: 90.00 90.00 90.00
Space group I-4 (No. 82)
One atom of each set of equivalent atoms:
Ba 0.000 0.000 0.000 (multiplicity 2)
Ba 0.138 0.725 0.616 (multiplicity 8)
Si 0.000 0.500 0.250 (multiplicity 2)
S 0.050 0.713 0.329 (multiplicity 8)
S 0.106 0.702 0.902 (multiplicity 8)

[4]
# RbNi4Cl7
Simulated powder XRD pattern, CuKα. Input: a DFT-relaxed cell (GGA-PBE, Alexandria).

Peak list (10 most intense, 2θ from 10° to 90°, by intensity)
29.6 deg, intensity 1000, (0 0 2)
23.4 deg, intensity 922, (2 1 1)
27.0 deg, intensity 797, (4 1 0)
28.2 deg, intensity 657, (0 2 0)
49.2 deg, intensity 630, (4 3 0)
53.3 deg, intensity 517, (4 1 3)
30.9 deg, intensity 494, (4 1 1)
58.5 deg, intensity 469, (4 3 2)
22.7 deg, intensity 398, (3 0 1)
46.9 deg, intensity 385, (8 0 0)

Crystal structure
abc: 15.484 6.325 6.038
angles: 90.00 90.00 90.00
Space group Pmn2_1 (No. 31)
One atom of each set of equivalent atoms:
Rb 0.000 0.175 0.000 (multiplicity 2)
Ni 0.122 0.668 0.584 (multiplicity 4)
Ni 0.248 0.187 0.576 (multiplicity 4)
Cl 0.000 0.830 0.476 (multiplicity 2)
Cl 0.118 0.323 0.502 (multiplicity 4)
Cl 0.124 0.698 0.958 (multiplicity 4)
Cl 0.241 0.842 0.452 (multiplicity 4)

[5]
# Ta6NbIr
Simulated powder XRD pattern, CuKα. Input: a DFT-relaxed cell (GGA-PBE, Alexandria).

Peak list (10 most intense, 2θ from 10° to 90°, by intensity)
38.9 deg, intensity 1000, (2 2 1)
70.4 deg, intensity 235, (2 6 1)
70.3 deg, intensity 118, (4 4 0)
56.2 deg, intensity 115, (0 4 2)
83.4 deg, intensity 76, (4 4 2)
56.0 deg, intensity 58, (4 0 0)
83.6 deg, intensity 38, (0 0 4)
16.6 deg, intensity 11, (1 1 0)
25.4 deg, intensity 10, (1 1 1)
19.2 deg, intensity 5, (0 0 1)

Crystal structure
abc: 6.566 9.257 4.627
angles: 90.00 90.00 90.00
Space group Cmmm (No. 65)
One atom of each set of equivalent atoms:
Ta 0.000 0.248 0.000 (multiplicity 4)
Ta 0.249 0.500 0.000 (multiplicity 4)
Ta 0.250 0.250 0.500 (multiplicity 4)
Nb 0.000 0.000 0.500 (multiplicity 2)
Ir 0.000 0.500 0.500 (multiplicity 2)

[6]
# HoMg3Pd12
Simulated powder XRD pattern, CuKα. Input: a DFT-relaxed cell (GGA-PBE, Alexandria).

Peak list (10 most intense, 2θ from 10° to 90°, by intensity)
38.9 deg, intensity 1000, (1 1 4)
45.1 deg, intensity 333, (2 0 0)
79.0 deg, intensity 243, (3 1 4)
66.1 deg, intensity 195, (2 0 8)
45.6 deg, intensity 151, (0 0 8)
65.6 deg, intensity 106, (2 2 0)
79.8 deg, intensity 105, (1 1 12)
83.6 deg, intensity 101, (2 2 8)
22.1 deg, intensity 36, (1 0 0)
22.8 deg, intensity 34, (1 0 1)

Crystal structure
abc: 4.023 4.023 15.916
angles: 90.00 90.00 90.00
Space group P4/mmm (No. 123)
One atom of each set of equivalent atoms:
Ho 0.000 0.000 0.000 (multiplicity 1)
Mg 0.000 0.000 0.256 (multiplicity 2)
Mg 0.000 0.000 0.500 (multiplicity 1)
Pd 0.000 0.500 0.133 (multiplicity 4)
Pd 0.000 0.500 0.378 (multiplicity 4)
Pd 0.500 0.500 0.000 (multiplicity 1)
Pd 0.500 0.500 0.255 (multiplicity 2)
Pd 0.500 0.500 0.500 (multiplicity 1)

[7]
# Nd2Sm5Th3
Simulated powder XRD pattern, CuKα. Input: a DFT-relaxed cell (GGA-PBE, Alexandria).

Peak list (10 most intense, 2θ from 10° to 90°, by intensity)
30.2 deg, intensity 1000, (3 1 1)
34.9 deg, intensity 171, (4 0 -2)
35.0 deg, intensity 168, (2 0 4)
35.2 deg, intensity 167, (0 2 0)
59.7 deg, intensity 146, (7 1 -1)
60.1 deg, intensity 145, (3 3 1)
59.9 deg, intensity 144, (5 1 5)
62.8 deg, intensity 126, (6 2 2)
50.3 deg, intensity 123, (6 0 2)
50.4 deg, intensity 122, (4 2 -2)

Crystal structure
abc: 11.490 5.100 11.467
angles: 90.00 90.13 90.00
Space group C2/m (No. 12)
One atom of each set of equivalent atoms:
Nd 0.098 0.000 0.205 (multiplicity 4)
Sm 0.000 0.500 0.000 (multiplicity 2)
Sm 0.199 0.000 0.896 (multiplicity 4)
Sm 0.200 0.500 0.403 (multiplicity 4)
Th 0.000 0.000 0.500 (multiplicity 2)
Th 0.098 0.500 0.697 (multiplicity 4)

[8]
# RbBaHgTe2
Simulated powder XRD pattern, CuKα. Input: a DFT-relaxed cell (GGA-PBE, Alexandria).

Peak list (10 most intense, 2θ from 10° to 90°, by intensity)
25.8 deg, intensity 1000, (1 1 -2)
28.5 deg, intensity 944, (1 1 2)
22.6 deg, intensity 794, (1 1 1)
35.2 deg, intensity 587, (1 2 0)
37.4 deg, intensity 423, (0 0 4)
30.8 deg, intensity 406, (2 1 -2)
27.2 deg, intensity 392, (2 1 0)
32.7 deg, intensity 384, (1 1 -3)
30.0 deg, intensity 319, (2 1 1)
19.6 deg, intensity 317, (1 0 -2)

Crystal structure
abc: 8.416 5.358 9.772
angles: 90.00 100.34 90.00
Space group P2/c (No. 13)
One atom of each set of equivalent atoms:
Rb 0.000 0.028 0.250 (multiplicity 2)
Ba 0.500 0.344 0.750 (multiplicity 2)
Hg 0.000 0.500 0.000 (multiplicity 2)
Te 0.315 0.169 0.029 (multiplicity 4)

[9]
# Fe2Rh
Simulated powder XRD pattern, CuKα. Input: a DFT-relaxed cell (GGA-PBE, Alexandria).

Peak list (10 most intense, 2θ from 10° to 90°, by intensity)
45.1 deg, intensity 1000, (1 1 4)
41.7 deg, intensity 613, (1 0 6)
38.0 deg, intensity 500, (1 1 0)
45.9 deg, intensity 466, (2 0 2)
71.3 deg, intensity 223, (2 1 6)
81.4 deg, intensity 218, (2 2 0)
73.7 deg, intensity 215, (3 0 4)
78.0 deg, intensity 197, (2 0 10)
44.6 deg, intensity 190, (2 0 1)
36.7 deg, intensity 155, (1 0 5)

Crystal structure
abc: 4.7309 4.7309 15.2882
angles: 90.00 90.00 120.00
Space group P6_3/mmc (No. 194)
One atom of each set of equivalent atoms:
Fe 0.0000 0.5000 0.0000 (multiplicity 6)
Fe 0.1637 0.3274 0.2500 (multiplicity 6)
Fe 0.3333 0.6667 0.1246 (multiplicity 4)
Rh 0.0000 0.0000 0.0952 (multiplicity 4)
Rh 0.3333 0.6667 0.6555 (multiplicity 4)

[10]
# HgPt5
Simulated powder XRD pattern, CuKα. Input: a DFT-relaxed cell (GGA-PBE, Alexandria).

Peak list (10 most intense, 2θ from 10° to 90°, by intensity)
38.6 deg, intensity 1000, (1 0 3)
45.0 deg, intensity 335, (1 1 0)
78.7 deg, intensity 262, (2 1 3)
65.3 deg, intensity 205, (1 1 6)
44.7 deg, intensity 155, (0 0 6)
65.5 deg, intensity 111, (2 0 0)
78.4 deg, intensity 110, (1 0 9)
82.8 deg, intensity 108, (2 0 6)
43.5 deg, intensity 12, (1 0 4)
87.2 deg, intensity 12, (1 0 10)

Crystal structure
abc: 2.851 2.851 12.151
angles: 90.00 90.00 90.00
Space group P4/mmm (No. 123)
One atom of each set of equivalent atoms:
Hg 0.000 0.000 0.000 (multiplicity 1)
Pt 0.000 0.000 0.340 (multiplicity 2)
Pt 0.500 0.500 0.178 (multiplicity 2)
Pt 0.500 0.500 0.500 (multiplicity 1)

[11]
# BaAcSm
Simulated powder XRD pattern, CuKα. Input: a DFT-relaxed cell (GGA-PBE, Alexandria).

Peak list (10 most intense, 2θ from 10° to 90°, by intensity)
27.3 deg, intensity 1000, (1 0 3)
31.7 deg, intensity 459, (1 1 0)
53.9 deg, intensity 307, (2 1 3)
30.6 deg, intensity 272, (1 0 4)
45.5 deg, intensity 171, (2 0 0)
49.3 deg, intensity 130, (1 1 7)
41.5 deg, intensity 118, (1 1 5)
55.9 deg, intensity 104, (2 1 4)
26.0 deg, intensity 101, (0 0 5)
48.2 deg, intensity 95, (1 0 8)

Crystal structure
abc: 3.986 3.986 17.131
angles: 90.00 90.00 90.00
Space group P4/nmm (No. 129, origin choice 2)
One atom of each set of equivalent atoms:
Ba 0.250 0.250 0.104 (multiplicity 2)
Ac 0.250 0.250 0.712 (multiplicity 2)
Sm 0.250 0.250 0.433 (multiplicity 2)

[12]
# Cs3ThBr6
Simulated powder XRD pattern, CuKα. Input: a DFT-relaxed cell (GGA-PBE, Alexandria).

Peak list (10 most intense, 2θ from 10° to 90°, by intensity)
28.6 deg, intensity 1000, (2 2 -2)
20.5 deg, intensity 579, (3 1 -1)
19.8 deg, intensity 539, (1 1 1)
35.7 deg, intensity 379, (4 2 0)
35.1 deg, intensity 323, (5 1 -3)
14.2 deg, intensity 295, (1 1 -1)
33.9 deg, intensity 244, (2 0 2)
45.5 deg, intensity 232, (1 3 -3)
46.5 deg, intensity 230, (5 3 -3)
11.7 deg, intensity 224, (0 0 1)

Crystal structure
abc: 15.098 8.524 9.162
angles: 90.00 124.22 90.00
Space group C2/m (No. 12)
One atom of each set of equivalent atoms:
Cs 0.000 0.000 0.000 (multiplicity 2)
Cs 0.241 0.000 0.723 (multiplicity 4)
Th 0.000 0.500 0.500 (multiplicity 2)
Br 0.072 0.270 0.347 (multiplicity 8)
Br 0.214 0.500 0.830 (multiplicity 4)